[1]
Diffraction record for HoRhO3. The X-ray diffraction stick pattern is theoretical, not measured: it uses a crystal structure in the Materials Project, relaxed with GGA-PBE and a wavelength of 1.5418 Å.
Lines closer than 0.1° are merged.

Structural model:
a b c (Å): 5.7840 7.6563 5.2795
angles (deg): 90.00 90.00 90.00
Space group Pnma (No. 62)
One atom of each set of equivalent atoms:
Ho  0.0840  0.2500  0.0305 x4
Rh  0.0000  0.0000  0.5000 x4
O  0.0545  0.7500  0.3625 x4
O  0.1903  0.5648  0.8224 x8

Main lines, in order of rising 2θ (10° ≤ 2θ ≤ 90°):
2θ (°)  I (rel.)
25.64  21.9
30.92  16.8
32.78  100.0
33.11  13.6
33.96  23.5
46.58  13.0
47.51  21.0
51.88  15.0
59.67  16.2
60.03  19.2



[2]
Diffraction record for Ca2HfO4. The X-ray diffraction stick pattern is theoretical, not measured: it uses a crystal structure in the Materials Project, relaxed with GGA-PBE and a wavelength of 1.5418 Å.
Lines closer than 0.1° are merged.

Structural model:
a b c (Å): 5.7489 9.9252 3.2794
angles (deg): 90.00 90.00 90.00
Space group Pbam (No. 55)
One atom of each set of equivalent atoms:
Ca  0.0664  0.1811  0.0000 x4
Hf  0.0000  0.5000  0.5000 x2
O  0.1388  0.6923  0.5000 x4
O  0.2257  0.4546  0.0000 x4

Main lines, in order of rising 2θ (10° ≤ 2θ ≤ 90°):
2θ (°)  I (rel.)
17.84  100.0
31.17  60.8
32.71  87.2
36.16  16.5
41.81  12.8
45.80  42.1
48.42  10.9
56.38  11.2
56.49  31.3
65.58  15.1



[3]
Diffraction record for Sn3As4. The X-ray diffraction stick pattern is theoretical, not measured: it uses a crystal structure in the Materials Project, relaxed with GGA-PBE and a wavelength of 1.5418 Å.
Lines closer than 0.1° are merged.

Structural model:
a b c (Å): 5.8612 5.8612 5.8612
angles (deg): 90.00 90.00 90.00
Space group P-43m (No. 215)
One atom of each set of equivalent atoms:
Sn  0.0000  0.0000  0.5000 x3
As  0.2870  0.2870  0.7130 x4

Main lines, in order of rising 2θ (10° ≤ 2θ ≤ 90°):
2θ (°)  I (rel.)
21.44  12.3
26.34  100.0
34.21  24.1
37.59  19.5
43.68  67.1
46.48  10.0
51.73  38.8
69.96  17.2
80.24  17.1
86.23  10.8



[4]
Diffraction record for DyTmMg2. The X-ray diffraction stick pattern is theoretical, not measured: it uses a crystal structure in the Materials Project, relaxed with GGA-PBE and a wavelength of 1.5418 Å.
Lines closer than 0.1° are merged.

Structural model:
a b c (Å): 7.5369 7.5369 7.5369
angles (deg): 90.00 90.00 90.00
Space group Fm-3m (No. 225)
One atom of each set of equivalent atoms:
Dy  0.0000  0.0000  0.0000 x4
Tm  0.0000  0.0000  0.5000 x4
Mg  0.2500  0.2500  0.2500 x8

Main lines, in order of rising 2θ (10° ≤ 2θ ≤ 90°):
2θ (°)  I (rel.)
23.61  64.5
33.63  100.0
41.50  19.9
48.30  18.1
54.44  27.4
60.15  37.5
70.71  11.5
75.72  13.2
80.62  16.1
85.45  8.0



[5]
Diffraction record for Rb3Sr. The X-ray diffraction stick pattern is theoretical, not measured: it uses a crystal structure in the Materials Project, relaxed with GGA-PBE and a wavelength of 1.5418 Å.
Lines closer than 0.1° are merged.

Structural model:
a b c (Å): 6.8286 6.8286 6.8286
angles (deg): 90.00 90.00 90.00
Space group Pm-3m (No. 221)
One atom of each set of equivalent atoms:
Rb  0.0000  0.0000  0.5000 x3
Sr  0.5000  0.5000  0.5000 x1

Main lines, in order of rising 2θ (10° ≤ 2θ ≤ 90°):
2θ (°)  I (rel.)
22.55  100.0
26.10  52.3
37.24  40.3
43.98  49.8
46.04  14.5
58.96  20.6
60.65  18.9
67.16  14.0
71.84  15.3
83.81  15.5



[6]
Diffraction record for Y2Co5Ni5. The X-ray diffraction stick pattern is theoretical, not measured: it uses a crystal structure in the Materials Project, relaxed with GGA-PBE and a wavelength of 1.5418 Å.
Lines closer than 0.1° are merged.

Structural model:
a b c (Å): 3.9731 4.9211 8.4449
angles (deg): 90.00 90.00 90.00
Space group Pmmm (No. 47)
One atom of each set of equivalent atoms:
Y  0.0000  0.0000  0.0000 x1
Y  0.0000  0.5000  0.5000 x1
Co  0.0000  0.0000  0.3334 x2
Co  0.0000  0.5000  0.1603 x2
Co  0.5000  0.5000  0.0000 x1
Ni  0.5000  0.0000  0.5000 x1
Ni  0.5000  0.2503  0.2498 x4

Main lines, in order of rising 2θ (10° ≤ 2θ ≤ 90°):
2θ (°)  I (rel.)
30.80  27.8
30.90  16.9
36.78  24.0
42.52  35.7
43.25  52.2
43.48  100.0
45.67  46.6
48.57  23.6
64.16  19.7
70.55  21.5